This entry pairs a crystal structure of K5Na6 with its theoretical PXRD pattern. Radiation: Cu Kα (weighted mean of Kα1 and Kα2). Structure: a cell relaxed with PBE.
Lines closer than 0.1° are merged.

The 6 most intense peaks (15 to 90 degrees two-theta), in order of rising 2θ:
d (Å)	Rel. int.
4.226	15.4
3.548	34.2
3.479	36.0
3.337	100.0
3.218	70.1
3.129	21.7

Structural model:
```
data_K5Na6
_chemical_formula_sum 'K10 Na12'
_cell_length_a 11.3738
_cell_length_b 18.3276
_cell_length_c 6.6937
_cell_angle_alpha 90.00
_cell_angle_beta 123.12
_cell_angle_gamma 90.00
_symmetry_space_group_name_H-M 'C 1 2/m 1'
_symmetry_Int_Tables_number 12
_symmetry_space_group_name_Hall '-C 2y'
loop_
_atom_site_label
_atom_site_type_symbol
_atom_site_fract_x
_atom_site_fract_y
_atom_site_fract_z
K1 K 0.0000 0.0000 0.0000
K2 K 0.0000 0.1568 0.5000
K3 K 0.0000 0.2931 0.0000
Na1 Na 0.1793 0.3844 0.6825
Na2 Na 0.1868 0.5000 0.1986
```